Starting from a structure optimized by DFT (PBE), the X-ray diffraction stick pattern of PmPrGaPt was calculated for Cu Kα.
Peak positions follow from Bragg's law for the DFT cell and can differ from measured ones.

Structural model:
abc: 4.3556 5.9148 5.9148
angles: 41.52 90.00 90.00
Fractional positions:
1 Pm 0.0000 0.0000 0.0000
2 Pr 0.5000 0.2833 0.2833
3 Ga 0.0000 0.7100 0.7100
4 Pt 0.5000 0.5603 0.5603

Peak list (10 most intense, 10° ≤ 2θ ≤ 90°, low angle first)
2θ (°), Rel. int.
16.02, 18
30.68, 100
32.35, 54
38.54, 91
41.46, 26
43.15, 23
53.55, 26
59.24, 16
61.38, 16
78.13, 15

***

Starting from a structure optimized by DFT (PBE), the X-ray diffraction stick pattern of Pm2Pr2GaRh4 was calculated for Cu Kα.
Peak positions follow from Bragg's law for the DFT cell and can differ from measured ones.

Structural model:
abc: 6.5347 6.5347 6.5347
angles: 117.63 117.63 94.15
Fractional positions:
1 Pm 0.1823 0.1823 0.0000
2 Pm 0.8177 0.8177 0.0000
3 Pr 0.2500 0.7500 0.5000
4 Pr 0.7500 0.2500 0.5000
5 Ga 0.5000 0.5000 0.0000
6 Rh 0.2431 0.2431 0.4863
7 Rh 0.2431 0.7569 0.0000
8 Rh 0.7569 0.2431 0.0000
9 Rh 0.7569 0.7569 0.5137

Peak list (10 most intense, 10° ≤ 2θ ≤ 90°, low angle first)
2θ (°), Rel. int.
32.96, 17
33.26, 100
37.60, 60
40.54, 12
42.68, 20
54.22, 21
56.48, 17
65.11, 28
69.84, 9
78.44, 9

***

Starting from a structure optimized by DFT (PBE), the X-ray diffraction stick pattern of Pm4Ga5Pt2 was calculated for Cu Kα.
Peak positions follow from Bragg's law for the DFT cell and can differ from measured ones.

Structural model:
abc: 7.2477 3.7534 9.3498
angles: 90.00 93.80 90.00
Fractional positions:
1 Pm 0.1806 0.0000 0.3742
2 Pm 0.2495 0.0000 0.9384
3 Pm 0.7505 0.0000 0.0616
4 Pm 0.8194 0.0000 0.6258
5 Ga 0.1922 0.5000 0.6585
6 Ga 0.4466 0.5000 0.1988
7 Ga 0.5000 0.5000 0.5000
8 Ga 0.5534 0.5000 0.8012
9 Ga 0.8078 0.5000 0.3415
10 Pt 0.0715 0.5000 0.1450
11 Pt 0.9285 0.5000 0.8550

Peak list (10 most intense, 10° ≤ 2θ ≤ 90°, low angle first)
2θ (°), Rel. int.
12.24, 69
32.55, 76
33.53, 100
34.44, 81
37.56, 53
37.93, 39
38.79, 48
39.45, 49
39.82, 51
48.51, 43

***

Starting from a structure optimized by DFT (PBE), the X-ray diffraction stick pattern of PmGa3Pt3 was calculated for Cu Kα.
Peak positions follow from Bragg's law for the DFT cell and can differ from measured ones.

Structural model:
abc: 7.5052 7.5052 7.5052
angles: 54.63 54.63 54.63
Fractional positions:
1 Pm 0.1603 0.1603 0.1603
2 Pm 0.8397 0.8397 0.8397
3 Ga 0.0412 0.2303 0.5976
4 Ga 0.2303 0.5976 0.0412
5 Ga 0.4024 0.9588 0.7697
6 Ga 0.5976 0.0412 0.2303
7 Ga 0.7697 0.4024 0.9588
8 Ga 0.9588 0.7697 0.4024
9 Pt 0.1888 0.4143 0.6673
10 Pt 0.3327 0.8112 0.5857
11 Pt 0.4143 0.6674 0.1888
12 Pt 0.5857 0.3327 0.8112
13 Pt 0.6673 0.1888 0.4143
14 Pt 0.8112 0.5857 0.3327

Peak list (10 most intense, 10° ≤ 2θ ≤ 90°, low angle first)
2θ (°), Rel. int.
28.04, 37
29.49, 100
36.21, 41
38.52, 79
40.28, 88
41.14, 83
44.44, 39
46.79, 24
50.53, 47
72.19, 22

***

Starting from a structure optimized by DFT (PBE), the X-ray diffraction stick pattern of PmGa2Pt6 was calculated for Cu Kα.
Peak positions follow from Bragg's law for the DFT cell and can differ from measured ones.

Structural model:
abc: 8.0348 8.0348 8.0348
angles: 60.00 60.00 60.00
Fractional positions:
1 Pm 0.1250 0.1250 0.1250
2 Pm 0.8750 0.8750 0.8750
3 Ga 0.0000 0.5000 0.5000
4 Ga 0.5000 0.0000 0.5000
5 Ga 0.5000 0.5000 0.0000
6 Ga 0.5000 0.5000 0.5000
7 Pt 0.1242 0.1242 0.6258
8 Pt 0.1242 0.6258 0.1242
9 Pt 0.1242 0.6258 0.6258
10 Pt 0.3742 0.3742 0.8758
11 Pt 0.3742 0.8758 0.3742
12 Pt 0.3742 0.8758 0.8758
13 Pt 0.6258 0.1242 0.1242
14 Pt 0.6258 0.1242 0.6258
15 Pt 0.6258 0.6258 0.1242
16 Pt 0.8758 0.3742 0.3742
17 Pt 0.8758 0.3742 0.8758
18 Pt 0.8758 0.8758 0.3742

Peak list (10 most intense, 10° ≤ 2θ ≤ 90°, low angle first)
2θ (°), Rel. int.
22.13, 17
26.01, 13
31.49, 84
38.83, 8
41.28, 5
45.14, 100
56.07, 23
65.74, 16
74.72, 29
83.33, 35

***

Starting from a structure optimized by DFT (PBE), the X-ray diffraction stick pattern of Pm2Ga3Pt2 was calculated for Cu Kα.
Peak positions follow from Bragg's law for the DFT cell and can differ from measured ones.

Structural model:
abc: 9.5686 9.5686 7.3458
angles: 90.00 90.00 154.87
Fractional positions:
1 Pm 0.0653 0.9347 0.7500
2 Pm 0.1577 0.8423 0.2500
3 Pm 0.8423 0.1577 0.7500
4 Pm 0.9347 0.0653 0.2500
5 Ga 0.2280 0.7720 0.7500
6 Ga 0.4421 0.5579 0.5781
7 Ga 0.4421 0.5579 0.9219
8 Ga 0.5579 0.4421 0.0781
9 Ga 0.5579 0.4421 0.4219
10 Ga 0.7720 0.2280 0.2500
11 Pt 0.3119 0.6881 0.0516
12 Pt 0.3119 0.6881 0.4484
13 Pt 0.6881 0.3119 0.5516
14 Pt 0.6881 0.3119 0.9484

Peak list (10 most intense, 10° ≤ 2θ ≤ 90°, low angle first)
2θ (°), Rel. int.
32.19, 28
32.87, 100
34.49, 98
35.64, 63
38.56, 39
40.70, 25
41.65, 69
43.47, 53
59.49, 22
61.77, 43

***

Starting from a structure optimized by DFT (PBE), the X-ray diffraction stick pattern of Pm2Ga3Pt5 was calculated for Cu Kα.
Peak positions follow from Bragg's law for the DFT cell and can differ from measured ones.

Structural model:
abc: 12.8430 12.8430 6.9208
angles: 90.00 90.00 161.13
Fractional positions:
1 Pm 0.0248 0.9752 0.5000
2 Pm 0.3259 0.6741 0.4689
3 Pm 0.6741 0.3259 0.9689
4 Pm 0.9752 0.0248 0.0000
5 Ga 0.1275 0.8725 0.2869
6 Ga 0.2822 0.7178 0.9187
7 Ga 0.4555 0.5445 0.3161
8 Ga 0.5445 0.4555 0.8161
9 Ga 0.7178 0.2822 0.4187
10 Ga 0.8725 0.1275 0.7869
11 Pt 0.0982 0.9018 0.8438
12 Pt 0.1963 0.8037 0.6493
13 Pt 0.2270 0.7730 0.2197
14 Pt 0.3814 0.6186 0.0401
15 Pt 0.4442 0.5558 0.6875
16 Pt 0.5558 0.4442 0.1875
17 Pt 0.6186 0.3814 0.5401
18 Pt 0.7730 0.2270 0.7197
19 Pt 0.8037 0.1963 0.1493
20 Pt 0.9018 0.0982 0.3438

Peak list (10 most intense, 10° ≤ 2θ ≤ 90°, low angle first)
2θ (°), Rel. int.
35.19, 100
37.81, 12
38.05, 31
38.47, 14
40.69, 12
41.67, 15
42.95, 31
44.89, 14
66.60, 12
73.68, 12

***

Starting from a structure optimized by DFT (PBE), the X-ray diffraction stick pattern of PmGa6Pt2 was calculated for Cu Kα.
Peak positions follow from Bragg's law for the DFT cell and can differ from measured ones.

Structural model:
abc: 8.4078 8.4078 8.4078
angles: 60.00 60.00 60.00
Fractional positions:
1 Pm 0.1250 0.1250 0.1250
2 Pm 0.8750 0.8750 0.8750
3 Ga 0.1329 0.1329 0.6171
4 Ga 0.1329 0.6171 0.1329
5 Ga 0.1329 0.6171 0.6171
6 Ga 0.3829 0.3829 0.8671
7 Ga 0.3829 0.8671 0.3829
8 Ga 0.3829 0.8671 0.8671
9 Ga 0.6171 0.1329 0.1329
10 Ga 0.6171 0.1329 0.6171
11 Ga 0.6171 0.6171 0.1329
12 Ga 0.8671 0.3829 0.3829
13 Ga 0.8671 0.3829 0.8671
14 Ga 0.8671 0.8671 0.3829
15 Pt 0.0000 0.5000 0.5000
16 Pt 0.5000 0.0000 0.5000
17 Pt 0.5000 0.5000 0.0000
18 Pt 0.5000 0.5000 0.5000

Peak list (10 most intense, 10° ≤ 2θ ≤ 90°, low angle first)
2θ (°), Rel. int.
12.90, 14
24.84, 83
25.96, 40
39.38, 29
43.03, 100
50.32, 12
50.94, 20
59.74, 25
62.49, 16
78.88, 32

***

Starting from a structure optimized by DFT (PBE), the X-ray diffraction stick pattern of Pm2GaPt5 was calculated for Cu Kα.
Peak positions follow from Bragg's law for the DFT cell and can differ from measured ones.

Structural model:
abc: 6.0453 6.0453 6.0453
angles: 117.78 117.78 93.89
Fractional positions:
1 Pm 0.0000 0.5000 0.5000
2 Pm 0.5000 0.0000 0.5000
3 Ga 0.2975 0.2975 0.0000
4 Pt 0.5204 0.5204 0.5511
5 Pt 0.5204 0.9693 0.0000
6 Pt 0.9693 0.5204 0.0000
7 Pt 0.9693 0.9693 0.4489
8 Pt 0.9870 0.9870 0.0000

Peak list (10 most intense, 10° ≤ 2θ ≤ 90°, low angle first)
2θ (°), Rel. int.
17.81, 13
33.87, 10
36.06, 100
40.86, 42
43.87, 17
59.16, 12
61.50, 23
71.27, 21
75.52, 14
76.49, 11

***

Starting from a structure optimized by DFT (PBE), the X-ray diffraction stick pattern of PmGaSi2Pt7 was calculated for Cu Kα.
Peak positions follow from Bragg's law for the DFT cell and can differ from measured ones.

Structural model:
abc: 14.3055 14.3055 14.3055
angles: 163.55 163.55 23.34
Fractional positions:
1 Pm 0.0000 0.0000 0.0000
2 Ga 0.7500 0.2500 0.5000
3 Si 0.3758 0.3758 0.0000
4 Si 0.6242 0.6242 0.0000
5 Pt 0.0795 0.5795 0.5000
6 Pt 0.2951 0.2951 0.0000
7 Pt 0.4205 0.9205 0.5000
8 Pt 0.5000 0.5000 0.0000
9 Pt 0.5797 0.0797 0.5000
10 Pt 0.7049 0.7049 0.0000
11 Pt 0.9203 0.4203 0.5000

Peak list (10 most intense, 10° ≤ 2θ ≤ 90°, low angle first)
2θ (°), Rel. int.
19.00, 17
23.74, 18
26.98, 22
31.94, 17
33.51, 40
36.53, 100
44.27, 52
50.21, 22
64.39, 17
76.37, 24

***

Starting from a structure optimized by DFT (PBE), the X-ray diffraction stick pattern of TbPmGaPt was calculated for Cu Kα.
Peak positions follow from Bragg's law for the DFT cell and can differ from measured ones.

Structural model:
abc: 4.3869 5.9263 5.9263
angles: 38.43 90.00 90.00
Fractional positions:
1 Tb 0.0000 0.0000 0.0000
2 Pm 0.5000 0.7152 0.7152
3 Ga 0.0000 0.2886 0.2886
4 Pt 0.5000 0.4407 0.4407

Peak list (10 most intense, 10° ≤ 2θ ≤ 90°, low angle first)
2θ (°), Rel. int.
15.84, 18
31.72, 100
31.99, 26
33.23, 31
38.15, 30
39.22, 62
41.15, 28
46.56, 20
53.88, 16
77.88, 16

***

Starting from a structure optimized by DFT (PBE), the X-ray diffraction stick pattern of Pm2ZrGa4Pt3 was calculated for Cu Kα.
Peak positions follow from Bragg's law for the DFT cell and can differ from measured ones.

Structural model:
abc: 4.1973 4.1973 11.4150
angles: 90.00 90.00 90.00
Fractional positions:
1 Pm 0.0000 0.5000 0.2412
2 Pm 0.5000 0.0000 0.7588
3 Zr 0.0000 0.0000 0.5000
4 Ga 0.0000 0.0000 0.0000
5 Ga 0.0000 0.5000 0.6543
6 Ga 0.5000 0.0000 0.3457
7 Ga 0.5000 0.5000 0.0000
8 Pt 0.0000 0.5000 0.8715
9 Pt 0.5000 0.0000 0.1285
10 Pt 0.5000 0.5000 0.5000

Peak list (10 most intense, 10° ≤ 2θ ≤ 90°, low angle first)
2θ (°), Rel. int.
31.14, 22
31.74, 65
34.05, 100
43.10, 65
44.02, 31
45.21, 39
54.51, 29
62.60, 21
64.24, 27
73.21, 21

***

Starting from a structure optimized by DFT (PBE), the X-ray diffraction stick pattern of PmPuGa4 was calculated for Cu Kα.
Peak positions follow from Bragg's law for the DFT cell and can differ from measured ones.

Structural model:
abc: 5.8166 5.8166 5.8166
angles: 135.20 99.65 97.05
Fractional positions:
1 Pm 0.0000 0.0000 0.0000
2 Pu 0.5000 0.0000 0.5000
3 Ga 0.0876 0.3330 0.7545
4 Ga 0.4215 0.6670 0.7545
5 Ga 0.5785 0.3330 0.2455
6 Ga 0.9124 0.6670 0.2455

Peak list (10 most intense, 10° ≤ 2θ ≤ 90°, low angle first)
2θ (°), Rel. int.
23.13, 24
33.36, 100
40.60, 32
40.71, 16
48.52, 9
53.47, 9
53.59, 18
65.09, 23
69.27, 16
69.44, 8